Simulated X-ray diffraction stick pattern
Compound: LuGa4Ni
Radiation: Cu Kα, 1.54184 Å
Structure: the GGA-PBE geometry in the Materials Project
No peak broadening, texture or thermal motion is included.

Main lines, low angle first (10° ≤ 2θ ≤ 90°):
2θ/deg, d/Å, Rel. int.
35.4, 2.533, 100
36.2, 2.482, 17
37.1, 2.420, 49
38.4, 2.342, 31
39.4, 2.287, 18
39.7, 2.273, 39
44.4, 2.041, 36
45.4, 1.997, 21
55.6, 1.654, 16
60.1, 1.539, 17

Crystal structure
Cell lengths 7.786, 7.786, 6.615 Å; angles 90.00, 90.00, 149.60 degrees
Atoms (fractional coordinates):
1 Lu 0.121 0.879 0.750
2 Lu 0.879 0.121 0.250
3 Ga 0.070 0.930 0.250
4 Ga 0.316 0.684 0.551
5 Ga 0.316 0.684 0.949
6 Ga 0.500 0.500 0.000
7 Ga 0.500 0.500 0.500
8 Ga 0.684 0.316 0.051
9 Ga 0.684 0.316 0.449
10 Ga 0.930 0.070 0.750
11 Ni 0.227 0.773 0.250
12 Ni 0.773 0.227 0.750



Simulated X-ray diffraction stick pattern
Compound: Lu2Ga3Ni
Radiation: Cu Kα, 1.54184 Å
Structure: the GGA-PBE geometry in the Materials Project
No peak broadening, texture or thermal motion is included.

Main lines, low angle first (10° ≤ 2θ ≤ 90°):
2θ/deg, d/Å, Rel. int.
24.0, 3.711, 44
34.3, 2.613, 26
34.7, 2.582, 32
35.2, 2.552, 25
35.3, 2.540, 81
35.8, 2.512, 62
36.0, 2.495, 29
42.2, 2.142, 100
56.0, 1.642, 18
69.4, 1.354, 19

Crystal structure
Cell lengths 5.444, 5.444, 6.893 Å; angles 128.16, 128.16, 46.40 degrees
Atoms (fractional coordinates):
1 Lu 0.000 0.000 0.000
2 Lu 0.093 0.093 0.596
3 Ga 0.382 0.382 0.202
4 Ga 0.694 0.694 0.985
5 Ga 0.720 0.720 0.417
6 Ni 0.378 0.378 0.579



Simulated X-ray diffraction stick pattern
Compound: LuGaPd
Radiation: Cu Kα, 1.54184 Å
Structure: the GGA-PBE geometry in the Materials Project
No peak broadening, texture or thermal motion is included.

Main lines, low angle first (10° ≤ 2θ ≤ 90°):
2θ/deg, d/Å, Rel. int.
23.5, 3.791, 14
33.8, 2.652, 53
35.2, 2.547, 37
35.4, 2.535, 100
37.6, 2.391, 18
41.0, 2.203, 47
41.4, 2.181, 60
55.5, 1.657, 20
67.5, 1.388, 25
77.4, 1.233, 19

Crystal structure
Cell lengths 6.821, 4.363, 7.658 Å; angles 90.00, 90.00, 90.00 degrees
Atoms (fractional coordinates):
1 Lu 0.007 0.250 0.198
2 Lu 0.493 0.750 0.698
3 Lu 0.507 0.250 0.302
4 Lu 0.993 0.750 0.802
5 Ga 0.214 0.750 0.396
6 Ga 0.286 0.250 0.896
7 Ga 0.714 0.750 0.104
8 Ga 0.786 0.250 0.604
9 Pd 0.176 0.250 0.569
10 Pd 0.324 0.750 0.069
11 Pd 0.676 0.250 0.931
12 Pd 0.824 0.750 0.431



Simulated X-ray diffraction stick pattern
Compound: Lu6Ga19Pd3
Radiation: Cu Kα, 1.54184 Å
Structure: the GGA-PBE geometry in the Materials Project
No peak broadening, texture or thermal motion is included.

Main lines, low angle first (10° ≤ 2θ ≤ 90°):
2θ/deg, d/Å, Rel. int.
22.9, 3.887, 27
30.1, 2.965, 25
34.9, 2.568, 83
35.3, 2.540, 100
35.5, 2.531, 26
35.7, 2.518, 97
36.9, 2.434, 25
37.1, 2.421, 43
42.6, 2.122, 71
43.7, 2.072, 49

Crystal structure
Cell lengths 8.112, 8.112, 15.867 Å; angles 103.64, 103.64, 30.32 degrees
Atoms (fractional coordinates):
1 Lu 0.000 0.000 0.000
2 Lu 0.201 0.201 0.803
3 Lu 0.349 0.349 0.651
4 Lu 0.502 0.502 0.499
5 Lu 0.698 0.698 0.302
6 Lu 0.851 0.851 0.151
7 Ga 0.060 0.060 0.221
8 Ga 0.096 0.096 0.396
9 Ga 0.139 0.139 0.582
10 Ga 0.208 0.208 0.162
11 Ga 0.281 0.281 0.438
12 Ga 0.339 0.339 0.291
13 Ga 0.360 0.360 0.008
14 Ga 0.422 0.422 0.863
15 Ga 0.491 0.491 0.139
16 Ga 0.562 0.562 0.724
17 Ga 0.600 0.600 0.902
18 Ga 0.639 0.639 0.078
19 Ga 0.693 0.693 0.495
20 Ga 0.710 0.710 0.665
21 Ga 0.779 0.779 0.940
22 Ga 0.840 0.840 0.795
23 Ga 0.864 0.864 0.510
24 Ga 0.921 0.921 0.362
25 Ga 0.992 0.992 0.642
26 Pd 0.010 0.010 0.810
27 Pd 0.190 0.190 0.992
28 Pd 0.506 0.506 0.306



Simulated X-ray diffraction stick pattern
Compound: Lu4Ga12Pd
Radiation: Cu Kα, 1.54184 Å
Structure: the GGA-PBE geometry in the Materials Project
No peak broadening, texture or thermal motion is included.

Main lines, low angle first (10° ≤ 2θ ≤ 90°):
2θ/deg, d/Å, Rel. int.
20.7, 4.283, 11
29.5, 3.029, 41
36.3, 2.473, 100
42.2, 2.141, 64
52.3, 1.749, 12
61.2, 1.514, 38
69.4, 1.354, 12
73.3, 1.291, 30
77.1, 1.236, 11
84.7, 1.145, 11

Crystal structure
Cell lengths 7.418, 7.418, 7.418 Å; angles 109.47, 109.47, 109.47 degrees
Atoms (fractional coordinates):
1 Lu 0.000 0.000 0.500
2 Lu 0.000 0.500 0.000
3 Lu 0.500 0.000 0.000
4 Lu 0.500 0.500 0.500
5 Ga 0.000 0.296 0.296
6 Ga 0.000 0.704 0.704
7 Ga 0.250 0.500 0.750
8 Ga 0.250 0.750 0.500
9 Ga 0.296 0.000 0.296
10 Ga 0.296 0.296 0.000
11 Ga 0.500 0.250 0.750
12 Ga 0.500 0.750 0.250
13 Ga 0.704 0.000 0.704
14 Ga 0.704 0.704 0.000
15 Ga 0.750 0.250 0.500
16 Ga 0.750 0.500 0.250
17 Pd 0.000 0.000 0.000



Simulated X-ray diffraction stick pattern
Compound: LuGa2Pd
Radiation: Cu Kα, 1.54184 Å
Structure: the GGA-PBE geometry in the Materials Project
No peak broadening, texture or thermal motion is included.

Main lines, low angle first (10° ≤ 2θ ≤ 90°):
2θ/deg, d/Å, Rel. int.
27.1, 3.289, 20
35.2, 2.548, 100
35.8, 2.509, 16
36.4, 2.468, 96
38.4, 2.344, 35
41.0, 2.200, 44
43.7, 2.070, 27
45.1, 2.009, 17
57.4, 1.604, 22
71.7, 1.317, 22

Crystal structure
Cell lengths 5.479, 5.479, 6.578 Å; angles 90.00, 90.00, 132.65 degrees
Atoms (fractional coordinates):
1 Lu 0.087 0.913 0.750
2 Lu 0.913 0.087 0.250
3 Ga 0.372 0.628 0.552
4 Ga 0.372 0.628 0.948
5 Ga 0.628 0.372 0.052
6 Ga 0.628 0.372 0.448
7 Pd 0.200 0.800 0.250
8 Pd 0.800 0.200 0.750